This entry pairs a crystal structure of Tb2Pm3Si2 with its computed powder XRD pattern. Radiation: λ = 1.5418 Å (Cu Kα). Structure: a DFT-relaxed cell (PBE, Alexandria).
Peak positions follow from Bragg's law for the DFT cell and can differ from measured ones.

Principal peaks in the range 15 to 90 degrees two-theta, sorted by position:
26.61 deg, intensity 53.3, hkl 1 1 1
29.85 deg, intensity 27.6, hkl 4 0 -1
30.18 deg, intensity 50.8, hkl 1 1 -2
31.07 deg, intensity 100.0, hkl 3 1 -1
32.19 deg, intensity 41.9, hkl 2 0 2
32.38 deg, intensity 47.6, hkl 2 0 -3
34.26 deg, intensity 63.4, hkl 1 1 2
43.10 deg, intensity 33.5, hkl 0 2 0
54.82 deg, intensity 38.8, hkl 5 1 -4
54.94 deg, intensity 36.8, hkl 2 2 -3

Cell and atoms:
Cell: 11.973 4.197 8.356 Å, 90.00 110.60 90.00°
Space group C2/m (No. 12)
One atom of each set of equivalent atoms:
Tb  0.153  0.000  0.308 x4
Pm  0.000  0.500  0.500 x2
Pm  0.130  0.500  0.939 x4
Si  0.177  0.000  0.698 x4


This entry pairs a crystal structure of Pm3Si4Tc4 with its computed powder XRD pattern. Radiation: λ = 1.5418 Å (Cu Kα). Structure: a DFT-relaxed cell (PBE, Alexandria).
Peak positions follow from Bragg's law for the DFT cell and can differ from measured ones.

Principal peaks in the range 15 to 90 degrees two-theta, sorted by position:
23.51 deg, intensity 43.7, hkl 2 0 0
28.89 deg, intensity 69.4, hkl 2 1 1
33.48 deg, intensity 96.4, hkl 2 2 0
37.58 deg, intensity 100.0, hkl 3 1 0
41.32 deg, intensity 41.0, hkl 2 2 2
44.80 deg, intensity 25.8, hkl 3 2 1
51.20 deg, intensity 30.1, hkl 4 1 1
54.19 deg, intensity 53.1, hkl 4 2 0
59.86 deg, intensity 26.7, hkl 4 2 2
70.36 deg, intensity 29.1, hkl 4 4 0

Cell and atoms:
Cell: 7.569 7.569 7.569 Å, 90.00 90.00 90.00°
Space group I-43m (No. 217)
One atom of each set of equivalent atoms:
Pm  0.000  0.000  0.500 x6
Si  0.179  0.179  0.179 x8
Tc  0.138  0.138  0.862 x8


This entry pairs a crystal structure of Pm5Si5Tc2 with its computed powder XRD pattern. Radiation: λ = 1.5418 Å (Cu Kα). Structure: a DFT-relaxed cell (PBE, Alexandria).
Peak positions follow from Bragg's law for the DFT cell and can differ from measured ones.

Principal peaks in the range 15 to 90 degrees two-theta, sorted by position:
23.10 deg, intensity 38.3, hkl 1 1 -1
23.78 deg, intensity 50.0, hkl 1 1 1
29.27 deg, intensity 45.2, hkl 4 0 -1
30.47 deg, intensity 63.9, hkl 3 1 -1
32.03 deg, intensity 100.0, hkl 3 1 1
33.55 deg, intensity 66.9, hkl 3 1 -2
35.35 deg, intensity 62.7, hkl 1 1 3
36.05 deg, intensity 39.7, hkl 4 0 2
37.06 deg, intensity 65.2, hkl 2 0 -4
41.54 deg, intensity 57.6, hkl 0 2 0

Cell and atoms:
Cell: 12.416 4.347 10.093 Å, 90.00 97.03 90.00°
Space group C2/m (No. 12)
One atom of each set of equivalent atoms:
Pm  0.000  0.000  0.000 x2
Pm  0.149  0.000  0.593 x4
Pm  0.222  0.500  0.103 x4
Si  0.000  0.500  0.500 x2
Si  0.099  0.500  0.822 x4
Si  0.155  0.000  0.282 x4
Tc  0.078  0.500  0.308 x4


This entry pairs a crystal structure of Pm2SiTe6 with its computed powder XRD pattern. Radiation: λ = 1.5418 Å (Cu Kα). Structure: a DFT-relaxed cell (PBE, Alexandria).
Peak positions follow from Bragg's law for the DFT cell and can differ from measured ones.

Principal peaks in the range 15 to 90 degrees two-theta, sorted by position:
19.16 deg, intensity 42.4, hkl 1 1 -2
25.03 deg, intensity 79.4, hkl 1 2 -1
26.98 deg, intensity 81.3, hkl 2 1 -1
31.27 deg, intensity 48.8, hkl 2 1 0
32.15 deg, intensity 86.7, hkl 1 0 -4
32.42 deg, intensity 55.1, hkl 1 1 2
35.48 deg, intensity 90.8, hkl 1 3 -1
36.72 deg, intensity 100.0, hkl 0 2 3
40.74 deg, intensity 45.5, hkl 3 1 -1
43.44 deg, intensity 44.7, hkl 3 1 -5

Cell and atoms:
Cell: 7.645 8.047 11.554 Å, 90.00 126.80 90.00°
Space group P2_1/c (No. 14)
One atom of each set of equivalent atoms:
Pm  0.207  0.144  0.234 x4
Si  0.500  0.000  0.000 x2
Te  0.108  0.161  0.923 x4
Te  0.269  0.669  0.949 x4
Te  0.373  0.512  0.223 x4


This entry pairs a crystal structure of PmSiTe4 with its computed powder XRD pattern. Radiation: λ = 1.5418 Å (Cu Kα). Structure: a DFT-relaxed cell (PBE, Alexandria).
Peak positions follow from Bragg's law for the DFT cell and can differ from measured ones.

Principal peaks in the range 15 to 90 degrees two-theta, sorted by position:
17.20 deg, intensity 66.9, hkl 2 0 0
27.14 deg, intensity 39.7, hkl 2 0 2
27.99 deg, intensity 100.0, hkl 3 0 1
32.68 deg, intensity 48.1, hkl 1 0 3
33.04 deg, intensity 37.9, hkl 3 2 1
34.64 deg, intensity 56.0, hkl 3 1 2
34.81 deg, intensity 26.9, hkl 4 0 0
42.84 deg, intensity 58.9, hkl 3 3 2
45.25 deg, intensity 26.1, hkl 4 3 1
51.20 deg, intensity 23.4, hkl 3 1 4

Cell and atoms:
Cell: 10.309 10.309 8.527 Å, 90.00 90.00 90.00°
Space group I4_1/amd (No. 141, origin choice 2)
One atom of each set of equivalent atoms:
Pm  0.000  0.250  0.375 x4
Si  0.000  0.250  0.875 x4
Te  0.000  0.067  0.676 x16


This entry pairs a crystal structure of Pm3ThSi3 with its computed powder XRD pattern. Radiation: λ = 1.5418 Å (Cu Kα). Structure: a DFT-relaxed cell (PBE, Alexandria).
Peak positions follow from Bragg's law for the DFT cell and can differ from measured ones.

Principal peaks in the range 15 to 90 degrees two-theta, sorted by position:
24.88 deg, intensity 100.0, hkl 0 2 1
30.49 deg, intensity 25.3, hkl 0 1 2
30.63 deg, intensity 68.8, hkl 2 1 1
35.40 deg, intensity 58.0, hkl 2 0 2
35.55 deg, intensity 60.5, hkl 2 2 0
47.54 deg, intensity 15.6, hkl 3 1 2
54.27 deg, intensity 17.2, hkl 0 3 3
54.42 deg, intensity 39.1, hkl 2 3 2
63.77 deg, intensity 15.5, hkl 4 2 2
66.75 deg, intensity 16.9, hkl 4 3 1

Cell and atoms:
Cell: 10.1020 10.1020 6.2235 Å, 90.00 90.00 120.00°
Space group R3m (No. 160, hexagonal axes)
One atom of each set of equivalent atoms:
Pm  0.1938  0.3875  0.0000 x9
Th  0.0000  0.0000  0.7675 x3
Si  0.9995  0.4998  0.1955 x9


This entry pairs a crystal structure of Pm3TiSi5 with its computed powder XRD pattern. Radiation: λ = 1.5418 Å (Cu Kα). Structure: a DFT-relaxed cell (PBE, Alexandria).
Peak positions follow from Bragg's law for the DFT cell and can differ from measured ones.

Principal peaks in the range 15 to 90 degrees two-theta, sorted by position:
20.43 deg, intensity 16.6, hkl 1 1 0
23.64 deg, intensity 22.0, hkl 2 0 0
25.69 deg, intensity 100.0, hkl 1 1 1
31.10 deg, intensity 22.9, hkl 0 0 2
35.19 deg, intensity 56.1, hkl 2 1 1
35.78 deg, intensity 54.1, hkl 3 0 0
37.50 deg, intensity 52.6, hkl 1 1 2
44.57 deg, intensity 19.0, hkl 2 2 1
46.26 deg, intensity 32.6, hkl 3 1 1
67.87 deg, intensity 16.7, hkl 4 2 1

Cell and atoms:
Cell: 8.6923 8.6923 5.7512 Å, 90.00 90.00 120.00°
Space group P6_3/mcm (No. 193)
One atom of each set of equivalent atoms:
Pm  0.0000  0.3839  0.2500 x6
Ti  0.0000  0.0000  0.0000 x2
Si  0.0000  0.2514  0.7500 x6
Si  0.3333  0.6667  0.0000 x4


This entry pairs a crystal structure of Pm2TlSi2 with its computed powder XRD pattern. Radiation: λ = 1.5418 Å (Cu Kα). Structure: a DFT-relaxed cell (PBE, Alexandria).
Peak positions follow from Bragg's law for the DFT cell and can differ from measured ones.

Principal peaks in the range 15 to 90 degrees two-theta, sorted by position:
26.38 deg, intensity 27.6, hkl 2 1 0
26.87 deg, intensity 44.2, hkl 1 1 1
31.75 deg, intensity 100.0, hkl 2 0 1
33.55 deg, intensity 28.5, hkl 2 2 0
33.95 deg, intensity 59.8, hkl 2 1 1
37.65 deg, intensity 45.4, hkl 3 1 0
42.73 deg, intensity 20.9, hkl 0 0 2
56.03 deg, intensity 26.5, hkl 3 3 1
58.24 deg, intensity 25.8, hkl 3 1 2
88.45 deg, intensity 19.8, hkl 3 3 3

Cell and atoms:
Cell: 7.555 7.555 4.232 Å, 90.00 90.00 90.00°
Space group P4/mbm (No. 127)
One atom of each set of equivalent atoms:
Pm  0.181  0.319  0.000 x4
Tl  0.000  0.000  0.500 x2
Si  0.110  0.610  0.500 x4


This entry pairs a crystal structure of Pm6TlSi3 with its computed powder XRD pattern. Radiation: λ = 1.5418 Å (Cu Kα). Structure: a DFT-relaxed cell (PBE, Alexandria).
Peak positions follow from Bragg's law for the DFT cell and can differ from measured ones.

Principal peaks in the range 15 to 90 degrees two-theta, sorted by position:
25.35 deg, intensity 43.6, hkl 2 0 2
27.21 deg, intensity 100.0, hkl 2 1 -2
28.18 deg, intensity 25.9, hkl 1 1 2
28.39 deg, intensity 42.1, hkl 2 1 1
29.51 deg, intensity 57.4, hkl 2 0 -4
30.33 deg, intensity 49.3, hkl 4 0 -2
31.37 deg, intensity 68.2, hkl 3 1 0
33.72 deg, intensity 54.3, hkl 1 1 3
41.31 deg, intensity 46.8, hkl 0 2 0
51.58 deg, intensity 26.6, hkl 2 2 -4

Cell and atoms:
Cell: 11.954 4.371 12.340 Å, 90.00 109.26 90.00°
Space group P2_1/m (No. 11)
One atom of each set of equivalent atoms:
Pm  0.042  0.250  0.412 x2
Pm  0.121  0.250  0.975 x2
Pm  0.202  0.750  0.270 x2
Pm  0.249  0.750  0.771 x2
Pm  0.381  0.250  0.565 x2
Pm  0.427  0.750  0.099 x2
Tl  0.416  0.250  0.296 x2
Si  0.016  0.250  0.170 x2
Si  0.200  0.750  0.516 x2
Si  0.343  0.250  0.924 x2


This entry pairs a crystal structure of Pm3TlSi2 with its computed powder XRD pattern. Radiation: λ = 1.5418 Å (Cu Kα). Structure: a DFT-relaxed cell (PBE, Alexandria).
Peak positions follow from Bragg's law for the DFT cell and can differ from measured ones.

Principal peaks in the range 15 to 90 degrees two-theta, sorted by position:
15.93 deg, intensity 15.9, hkl 0 1 2
22.69 deg, intensity 25.9, hkl 1 0 4
26.55 deg, intensity 100.0, hkl 1 1 3
27.71 deg, intensity 26.6, hkl 2 0 2
35.99 deg, intensity 18.9, hkl 1 2 2
36.22 deg, intensity 70.1, hkl 1 1 6
39.53 deg, intensity 52.1, hkl 3 0 0
48.65 deg, intensity 19.2, hkl 1 1 9
54.69 deg, intensity 19.6, hkl 2 2 6
72.33 deg, intensity 16.1, hkl 3 0 12

Cell and atoms:
Cell: 7.8963 7.8963 19.1289 Å, 90.00 90.00 120.00°
Space group R-3c (No. 167, hexagonal axes)
One atom of each set of equivalent atoms:
Pm  0.0000  0.2955  0.2500 x18
Tl  0.0000  0.0000  0.0000 x6
Si  0.0000  0.0000  0.1522 x12


This entry pairs a crystal structure of PmTmSi2 with its computed powder XRD pattern. Radiation: λ = 1.5418 Å (Cu Kα). Structure: a DFT-relaxed cell (PBE, Alexandria).
Peak positions follow from Bragg's law for the DFT cell and can differ from measured ones.

Principal peaks in the range 15 to 90 degrees two-theta, sorted by position:
22.19 deg, intensity 38.1, hkl 0 1 1
28.59 deg, intensity 64.3, hkl 1 0 2
32.22 deg, intensity 100.0, hkl 1 1 1
32.67 deg, intensity 54.0, hkl 0 1 3
33.72 deg, intensity 29.5, hkl 0 0 4
40.37 deg, intensity 32.4, hkl 1 1 3
41.77 deg, intensity 23.4, hkl 0 2 0
51.40 deg, intensity 26.1, hkl 1 2 2
53.58 deg, intensity 22.4, hkl 1 1 5
58.52 deg, intensity 20.5, hkl 2 1 3

Cell and atoms:
Cell: 3.857 4.325 10.631 Å, 90.00 90.00 90.00°
Space group Amm2 (No. 38)
One atom of each set of equivalent atoms:
Pm  0.000  0.000  0.000 x2
Tm  0.500  0.000  0.720 x2
Si  0.000  0.000  0.282 x2
Si  0.500  0.000  0.433 x2


This entry pairs a crystal structure of PmTmZnSi with its computed powder XRD pattern. Radiation: λ = 1.5418 Å (Cu Kα). Structure: a DFT-relaxed cell (PBE, Alexandria).
Peak positions follow from Bragg's law for the DFT cell and can differ from measured ones.

Principal peaks in the range 15 to 90 degrees two-theta, sorted by position:
22.73 deg, intensity 16.3, hkl 0 1 1
27.30 deg, intensity 48.5, hkl 1 0 2
31.76 deg, intensity 100.0, hkl 1 1 1
32.47 deg, intensity 56.6, hkl 0 1 3
32.58 deg, intensity 25.7, hkl 0 0 4
39.53 deg, intensity 55.4, hkl 1 1 3
43.23 deg, intensity 22.2, hkl 0 2 0
44.62 deg, intensity 20.3, hkl 2 0 0
51.88 deg, intensity 17.1, hkl 1 2 2
56.28 deg, intensity 34.5, hkl 2 1 3

Cell and atoms:
Cell: 4.062 4.186 10.994 Å, 90.00 90.00 90.00°
Space group Amm2 (No. 38)
One atom of each set of equivalent atoms:
Pm  0.000  0.000  0.000 x2
Tm  0.500  0.000  0.285 x2
Zn  0.500  0.000  0.579 x2
Si  0.000  0.000  0.720 x2


This entry pairs a crystal structure of PmSiW with its computed powder XRD pattern. Radiation: λ = 1.5418 Å (Cu Kα). Structure: a DFT-relaxed cell (PBE, Alexandria).
Peak positions follow from Bragg's law for the DFT cell and can differ from measured ones.

Principal peaks in the range 15 to 90 degrees two-theta, sorted by position:
22.68 deg, intensity 65.9, hkl 1 1 0
27.17 deg, intensity 54.3, hkl 0 2 1
30.97 deg, intensity 100.0, hkl 1 1 3
35.68 deg, intensity 35.1, hkl 2 1 1
37.54 deg, intensity 24.0, hkl 0 1 5
39.82 deg, intensity 79.0, hkl 3 0 0
42.35 deg, intensity 23.6, hkl 0 0 6
44.30 deg, intensity 31.1, hkl 2 0 5
50.33 deg, intensity 29.9, hkl 1 2 5
59.54 deg, intensity 36.5, hkl 3 0 6

Cell and atoms:
Cell: 7.8411 7.8411 12.8040 Å, 90.00 90.00 120.00°
Space group R32 (No. 155, hexagonal axes)
One atom of each set of equivalent atoms:
Pm  0.0000  0.3844  0.0000 x9
Si  0.0000  0.6113  0.5000 x9
W  0.0000  0.0000  0.0000 x3
W  0.0000  0.0000  0.1892 x6